Calculated powder diffractogram of Sm12YAl4O3 for Cu Ka, from a crystal structure in Alexandria, relaxed with GGA-PBE.
Neutral-atom scattering factors, no anomalous dispersion.

```
data_Sm12YAl4O3
_cell_length_a 10.049
_cell_length_b 10.049
_cell_length_c 10.049
_cell_angle_alpha 90.00
_cell_angle_beta 90.00
_cell_angle_gamma 90.00
_symmetry_space_group_name_H-M 'I m -3 m'
_symmetry_Int_Tables_number 229
_symmetry_space_group_name_Hall '-I 4 2 3'
loop_
_atom_site_label
_atom_site_type_symbol
_atom_site_fract_x
_atom_site_fract_y
_atom_site_fract_z
Sm1 Sm 0.000 0.000 0.273
Sm2 Sm 0.000 0.250 0.500
Y1 Y 0.000 0.000 0.000
Al1 Al 0.250 0.250 0.250
O1 O 0.000 0.000 0.500
```

Principal peaks in the range 15 to 90 degrees two-theta, by intensity:
2theta	I_rel	h k l
30.8	100	2 2 2
35.7	68	4 0 0
51.4	45	4 4 0
17.7	41	2 0 0
61.2	39	6 2 2
86.7	18	8 4 0
40.1	17	4 2 0
64.2	15	4 4 4
83.9	14	6 6 2
25.1	8	2 2 0